CsO: computed X-ray diffraction stick pattern (copper Kα), based on the GGA-PBE geometry in the Materials Project.

Cell and atoms:
a b c (Å): 5.500 5.500 5.500
angles (deg): 132.90 106.54 91.98
Element x y z (fractional)
Cs1 0.244 0.244 0.000
Cs2 0.756 0.756 0.000
O1 0.115 0.500 0.615
O2 0.885 0.500 0.385

The 10 most intense peaks (2θ = 15–90°), sorted by position:
d_spacing	2θ/deg	I/Imax
3.821	23.28	42
3.654	24.36	80
3.289	27.11	39
2.641	33.94	100
2.493	36.03	34
2.197	41.08	15
1.962	46.27	20
1.745	52.42	21
1.693	54.17	18
1.648	55.77	19